Record 1
# CrTe2Au
Computed powder X-ray diffraction pattern, λ = 1.5418 Å (Cu Kα). Input: the GGA-PBE geometry in Alexandria.

Cell and atoms:
```
CrTe2Au
1.0
6.976 -4.463 0.000
6.976 4.463 0.000
-6.398 0.000 14.089
Cr Te Au
8 16 8
direct
0.130 0.822 0.899
0.178 0.870 0.601
0.242 0.608 0.711
0.392 0.758 0.789
0.608 0.242 0.211
0.758 0.392 0.289
0.822 0.130 0.399
0.870 0.178 0.101
0.035 0.965 0.750
0.085 0.170 0.006
0.152 0.469 0.806
0.170 0.085 0.506
0.289 0.505 0.538
0.401 0.599 0.250
0.469 0.152 0.306
0.495 0.711 0.962
0.505 0.289 0.038
0.531 0.848 0.694
0.599 0.401 0.750
0.711 0.495 0.462
0.830 0.915 0.494
0.848 0.531 0.194
0.915 0.830 0.994
0.965 0.035 0.250
0.081 0.502 0.361
0.275 0.674 0.071
0.326 0.725 0.429
0.498 0.919 0.139
0.502 0.081 0.861
0.674 0.275 0.571
0.725 0.326 0.929
0.919 0.498 0.639
```

The 10 most intense peaks (2θ = 5–70°), by angle:
d_spacing  2theta  I/Imax
4.462  19.9  78
3.612  24.6  45
3.485  25.6  100
3.347  26.6  49
2.897  30.9  57
2.766  32.4  54
2.576  34.8  87
2.201  41.0  45
2.028  44.7  41
2.015  45.0  37


Record 2
# CeSBr2
Computed powder X-ray diffraction pattern, λ = 1.5418 Å (Cu Kα). Input: the GGA-PBE geometry in Alexandria.

Cell and atoms:
```
CeSBr2
1.0
4.744 -1.950 0.000
4.744 1.950 0.000
-2.704 0.000 7.384
Ce S Br
1 1 2
direct
0.000 0.000 0.000
0.700 0.700 0.000
0.343 0.343 0.719
0.504 0.504 0.281
```

The 10 most intense peaks (2θ = 5–70°), by angle:
d_spacing  2theta  I/Imax
7.384  12.0  100
4.573  19.4  63
4.455  19.9  44
3.055  29.2  68
2.765  32.4  79
2.461  36.5  27
2.454  36.6  34
2.407  37.4  34
2.090  43.3  22
1.698  54.0  18


What did the second record say?
# CeSBr2
Computed powder X-ray diffraction pattern, λ = 1.5418 Å (Cu Kα). Input: the GGA-PBE geometry in Alexandria.

Cell and atoms:
```
CeSBr2
1.0
4.744 -1.950 0.000
4.744 1.950 0.000
-2.704 0.000 7.384
Ce S Br
1 1 2
direct
0.000 0.000 0.000
0.700 0.700 0.000
0.343 0.343 0.719
0.504 0.504 0.281
```

The 10 most intense peaks (2θ = 5–70°), by angle:
d_spacing  2theta  I/Imax
7.384  12.0  100
4.573  19.4  63
4.455  19.9  44
3.055  29.2  68
2.765  32.4  79
2.461  36.5  27
2.454  36.6  34
2.407  37.4  34
2.090  43.3  22
1.698  54.0  18